1.
Diffraction record for MgAg3Pd6. The powder diffractogram is calculated, not measured: it uses a crystal structure in Alexandria, relaxed with GGA-PBE and copper Kα.

Crystal structure
Unit cell a=5.2591 b=5.2591 c=7.1839 alpha=90.00 beta=90.00 gamma=120.00
Space group P-31m (No. 162)
Unique sites:
Mg 0.0000 0.0000 0.0000 [1 per cell]
Ag 0.0000 0.0000 0.5000 [1 per cell]
Ag 0.3333 0.6667 0.5000 [2 per cell]
Pd 0.0000 0.4255 0.8188 [6 per cell]

Top 10 peaks for 2θ from 15° to 90°, by angle:
| two_theta | I_rel |
| --- | --- |
| 19.5 | 17.7 |
| 36.4 | 100.0 |
| 37.6 | 46.3 |
| 39.6 | 34.0 |
| 42.6 | 87.1 |
| 54.8 | 14.5 |
| 55.7 | 18.3 |
| 62.6 | 19.9 |
| 76.6 | 23.8 |
| 80.6 | 13.3 |


2.
Diffraction record for MgAgPd4. The powder diffractogram is calculated, not measured: it uses a crystal structure in Alexandria, relaxed with GGA-PBE and copper Kα.

Crystal structure
Unit cell a=7.535 b=4.638 c=5.542 alpha=90.00 beta=95.35 gamma=90.00
Space group C2/m (No. 12)
Unique sites:
Mg 0.000 0.000 0.000 [2 per cell]
Ag 0.000 0.000 0.500 [2 per cell]
Pd 0.166 0.500 0.660 [4 per cell]
Pd 0.167 0.500 0.157 [4 per cell]

Top 10 peaks for 2θ from 15° to 90°, by angle:
| two_theta | I_rel |
| --- | --- |
| 38.7 | 58.4 |
| 38.8 | 63.0 |
| 40.8 | 100.0 |
| 41.0 | 99.6 |
| 56.0 | 38.7 |
| 62.4 | 13.8 |
| 71.3 | 17.9 |
| 71.7 | 36.1 |
| 71.8 | 18.6 |
| 76.0 | 15.3 |


3.
Diffraction record for Mg7AgPd2. The powder diffractogram is calculated, not measured: it uses a crystal structure in Alexandria, relaxed with GGA-PBE and copper Kα.

Crystal structure
Unit cell a=4.6080 b=4.6080 c=11.2203 alpha=90.00 beta=90.00 gamma=120.00
Space group P3m1 (No. 156)
Unique sites:
Mg 0.0000 0.0000 0.0000 [1 per cell]
Mg 0.0000 0.0000 0.2576 [1 per cell]
Mg 0.0000 0.0000 0.5309 [1 per cell]
Mg 0.3333 0.6667 0.1378 [1 per cell]
Mg 0.3333 0.6667 0.6928 [1 per cell]
Mg 0.6667 0.3333 0.3682 [1 per cell]
Mg 0.6667 0.3333 0.8537 [1 per cell]
Ag 0.3333 0.6667 0.4210 [1 per cell]
Pd 0.0000 0.0000 0.7663 [1 per cell]
Pd 0.6667 0.3333 0.1151 [1 per cell]

Top 10 peaks for 2θ from 15° to 90°, by angle:
| two_theta | I_rel |
| --- | --- |
| 23.7 | 100.0 |
| 23.8 | 36.6 |
| 27.4 | 32.2 |
| 39.1 | 77.9 |
| 39.3 | 71.3 |
| 46.3 | 52.0 |
| 46.4 | 13.0 |
| 56.6 | 23.6 |
| 62.1 | 13.1 |
| 70.9 | 23.3 |


4.
Diffraction record for Mg2AgPd2. The powder diffractogram is calculated, not measured: it uses a crystal structure in Alexandria, relaxed with GGA-PBE and copper Kα.

Crystal structure
Unit cell a=4.316 b=13.965 c=5.597 alpha=90.00 beta=90.00 gamma=90.00
Space group Cmc2_1 (No. 36)
Unique sites:
Mg 0.000 0.086 0.000 [4 per cell]
Mg 0.000 0.299 0.206 [4 per cell]
Ag 0.000 0.112 0.489 [4 per cell]
Pd 0.000 0.311 0.694 [4 per cell]
Pd 0.000 0.491 0.269 [4 per cell]

Top 10 peaks for 2θ from 15° to 90°, by angle:
| two_theta | I_rel |
| --- | --- |
| 20.3 | 27.3 |
| 26.9 | 45.9 |
| 30.2 | 17.2 |
| 38.4 | 100.0 |
| 38.9 | 93.0 |
| 41.4 | 34.2 |
| 41.8 | 52.9 |
| 51.0 | 19.0 |
| 60.3 | 21.5 |
| 74.1 | 21.8 |


5.
Diffraction record for Mg3Ag2Pd2. The powder diffractogram is calculated, not measured: it uses a crystal structure in Alexandria, relaxed with GGA-PBE and copper Kα.

Crystal structure
Unit cell a=4.384 b=4.623 c=7.045 alpha=105.67 beta=90.10 gamma=118.21
Space group P-1 (No. 2)
Unique sites:
Mg 0.000 0.000 0.000 [1 per cell]
Mg 0.416 0.832 0.266 [2 per cell]
Ag 0.140 0.280 0.423 [2 per cell]
Pd 0.291 0.581 0.860 [2 per cell]

Top 10 peaks for 2θ from 15° to 90°, by angle:
| two_theta | I_rel |
| --- | --- |
| 22.9 | 23.6 |
| 25.0 | 40.4 |
| 32.8 | 21.9 |
| 38.3 | 100.0 |
| 39.1 | 95.6 |
| 39.9 | 45.0 |
| 41.2 | 41.3 |
| 53.1 | 18.6 |
| 69.3 | 16.1 |
| 70.9 | 14.9 |


6.
Diffraction record for MgAg12Pd7. The powder diffractogram is calculated, not measured: it uses a crystal structure in Alexandria, relaxed with GGA-PBE and copper Kα.

Crystal structure
Unit cell a=12.0372 b=12.0372 c=8.3816 alpha=90.00 beta=90.00 gamma=120.00
Space group R-3 (No. 148, hexagonal axes)
Unique sites:
Mg 0.0000 0.0000 0.0000 [3 per cell]
Ag 0.0505 0.2079 0.2502 [18 per cell]
Ag 0.0509 0.2456 0.5804 [18 per cell]
Pd 0.0000 0.0000 0.5000 [3 per cell]
Pd 0.0638 0.2412 0.9206 [18 per cell]

Top 10 peaks for 2θ from 15° to 90°, by angle:
| two_theta | I_rel |
| --- | --- |
| 25.6 | 11.7 |
| 35.4 | 40.5 |
| 39.6 | 100.0 |
| 41.5 | 50.8 |
| 44.2 | 32.9 |
| 51.8 | 10.6 |
| 65.1 | 17.6 |
| 71.9 | 10.1 |
| 77.0 | 11.0 |
| 80.7 | 20.4 |


7.
Diffraction record for Mg8Ag6Pd. The powder diffractogram is calculated, not measured: it uses a crystal structure in Alexandria, relaxed with GGA-PBE and copper Kα.

Crystal structure
Unit cell a=7.6099 b=7.6099 c=17.2888 alpha=90.00 beta=90.00 gamma=120.00
Space group R-3 (No. 148, hexagonal axes)
Unique sites:
Mg 0.0000 0.0000 0.0927 [6 per cell]
Mg 0.0417 0.7867 0.6198 [18 per cell]
Ag 0.0009 0.2437 0.2169 [18 per cell]
Pd 0.0000 0.0000 0.5000 [3 per cell]

Top 10 peaks for 2θ from 15° to 90°, by angle:
| two_theta | I_rel |
| --- | --- |
| 15.4 | 80.6 |
| 28.1 | 55.6 |
| 29.0 | 24.0 |
| 36.4 | 100.0 |
| 37.6 | 47.5 |
| 37.7 | 28.1 |
| 38.9 | 25.2 |
| 39.2 | 71.4 |
| 41.9 | 26.2 |
| 44.8 | 35.7 |


8.
Diffraction record for Mg2AgPd3. The powder diffractogram is calculated, not measured: it uses a crystal structure in Alexandria, relaxed with GGA-PBE and copper Kα.

Crystal structure
Unit cell a=4.255 b=12.707 c=3.606 alpha=90.00 beta=90.00 gamma=90.00
Space group Cmmm (No. 65)
Unique sites:
Mg 0.000 0.161 0.000 [4 per cell]
Ag 0.000 0.500 0.000 [2 per cell]
Pd 0.000 0.000 0.500 [2 per cell]
Pd 0.000 0.328 0.500 [4 per cell]

Top 10 peaks for 2θ from 15° to 90°, by angle:
| two_theta | I_rel |
| --- | --- |
| 29.8 | 11.3 |
| 39.0 | 100.0 |
| 42.5 | 19.7 |
| 42.7 | 19.0 |
| 50.6 | 11.6 |
| 61.8 | 12.3 |
| 75.4 | 13.6 |
| 75.7 | 12.9 |
| 83.9 | 10.2 |
| 87.4 | 10.0 |


Q: Number 5 is which compound?
A: Mg3Ag2Pd2


Q: Number 7 is which compound?
A: Mg8Ag6Pd